Calculated powder diffractogram of La2Sn2Os for Cu Kα, 1.54184 Å, from a crystal structure in Alexandria, relaxed with PBE.
Peak positions follow from Bragg's law for the DFT cell and can differ from measured ones.

Main lines, sorted by position (10° ≤ 2θ ≤ 90°):
2θ = 30.44°, rel. 35, (2 0 1); 2θ = 32.88°, rel. 100, (2 1 1); 2θ = 36.37°, rel. 32, (0 0 2); 2θ = 39.01°, rel. 43, (3 1 0); 2θ = 54.39°, rel. 33, (3 1 2); 2θ = 63.24°, rel. 15, (2 1 3)

Cell and atoms:
```
data_La2Sn2Os
_chemical_formula_sum 'La4 Sn4 Os2'
_cell_length_a 7.3021
_cell_length_b 7.3021
_cell_length_c 4.9401
_cell_angle_alpha 90.00
_cell_angle_beta 90.00
_cell_angle_gamma 90.00
_space_group_name_H-M_alt 'P 4/m b m'
_space_group_IT_number 127
_space_group_name_Hall '-P 4 2ab'
loop_
_atom_site_label
_atom_site_fract_x
_atom_site_fract_y
_atom_site_fract_z
La1 0.1725 0.3275 0.0000
Sn1 0.1412 0.6412 0.5000
Os1 0.0000 0.0000 0.5000
```